Theoretical PXRD pattern
Compound: Sm4NiPb
Radiation: a wavelength of 1.5418 Å
Structure: a cell relaxed with PBE

Top 10 peaks for 10 to 90 degrees two-theta, sorted by position:
- 2θ = 28.77°, rel. 58
- 2θ = 30.01°, rel. 38
- 2θ = 30.72°, rel. 100
- 2θ = 30.94°, rel. 68
- 2θ = 31.40°, rel. 31
- 2θ = 32.27°, rel. 92
- 2θ = 32.96°, rel. 54
- 2θ = 33.24°, rel. 90
- 2θ = 52.41°, rel. 33
- 2θ = 55.01°, rel. 33

Cell and atoms:
```
data_Sm4NiPb
_cell_length_a 5.828
_cell_length_b 6.983
_cell_length_c 8.670
_cell_angle_alpha 90.00
_cell_angle_beta 102.12
_cell_angle_gamma 90.00
_space_group_name_H-M_alt 'P 1 21/m 1'
_space_group_IT_number 11
loop_
_space_group_symop_operation_xyz
'x,y,z'
'-x,-y,-z'
'-x,y+1/2,-z'
'x,-y+1/2,z'
loop_
_atom_site_label
_atom_site_type_symbol
_atom_site_fract_x
_atom_site_fract_y
_atom_site_fract_z
Sm1 Sm 0.119 0.250 0.056
Sm2 Sm 0.209 0.750 0.367
Sm3 Sm 0.351 0.506 0.782
Ni1 Ni 0.343 0.750 0.051
Pb1 Pb 0.226 0.250 0.432
```